# 1
Starting from a GGA-PBE-relaxed structure, the XRD peak list of Li3In3Ni was simulated for Cu Kα X-rays.
Intensities are scaled so that the largest is 100.

Structural model:
Cell: 6.551 6.551 6.255 Å, 90.00 90.00 93.92°
Fractional positions:
Li1 0.156 0.156 0.500
Li2 0.212 0.212 0.000
Li3 0.242 0.758 0.000
Li4 0.758 0.242 0.000
Li5 0.788 0.788 0.000
Li6 0.844 0.844 0.500
In1 0.000 0.500 0.261
In2 0.000 0.500 0.739
In3 0.500 0.000 0.261
In4 0.500 0.000 0.739
In5 0.500 0.500 0.255
In6 0.500 0.500 0.745
Ni1 0.266 0.734 0.500
Ni2 0.734 0.266 0.500

Main lines, low angle first (2θ = 5–70°):
- 2θ = 13.55°, 6.536 Å, I 56
- 2θ = 18.53°, 4.788 Å, I 31
- 2θ = 27.29°, 3.268 Å, I 58
- 2θ = 37.57°, 2.394 Å, I 30
- 2θ = 39.90°, 2.259 Å, I 100
- 2θ = 40.34°, 2.236 Å, I 25

# 2
Starting from a GGA-PBE-relaxed structure, the XRD peak list of LiIn6Ni was simulated for Cu Kα X-rays.
Intensities are scaled so that the largest is 100.

Structural model:
Cell: 7.648 13.178 4.616 Å, 90.00 126.94 90.00°
Fractional positions:
Li1 0.000 0.000 0.000
Li2 0.500 0.500 0.000
In1 0.242 0.500 0.242
In2 0.247 0.323 0.747
In3 0.247 0.677 0.747
In4 0.253 0.177 0.253
In5 0.253 0.823 0.253
In6 0.258 0.000 0.758
In7 0.742 0.000 0.242
In8 0.747 0.177 0.747
In9 0.747 0.823 0.747
In10 0.753 0.323 0.253
In11 0.753 0.677 0.253
In12 0.758 0.500 0.758
Ni1 0.000 0.500 0.500
Ni2 0.500 0.000 0.500

Main lines, low angle first (2θ = 5–70°):
- 2θ = 28.04°, 3.182 Å, I 93
- 2θ = 29.22°, 3.056 Å, I 43
- 2θ = 39.03°, 2.308 Å, I 29
- 2θ = 40.94°, 2.204 Å, I 100
- 2θ = 41.10°, 2.196 Å, I 23
- 2θ = 57.97°, 1.591 Å, I 16

# 3
Starting from a GGA-PBE-relaxed structure, the XRD peak list of Li3Np3InTe8 was simulated for Cu Kα X-rays.
Intensities are scaled so that the largest is 100.

Structural model:
Cell: 8.630 8.630 8.619 Å, 118.88 118.88 60.86°
Fractional positions:
Li1 0.000 0.000 0.000
Li2 0.000 0.500 0.500
Li3 0.500 0.000 0.500
Np1 0.000 0.500 0.000
Np2 0.500 0.000 0.000
Np3 0.500 0.500 0.500
In1 0.000 0.000 0.500
Te1 0.245 0.752 0.750
Te2 0.247 0.247 0.254
Te3 0.248 0.755 0.250
Te4 0.251 0.251 0.748
Te5 0.749 0.749 0.252
Te6 0.752 0.245 0.750
Te7 0.753 0.753 0.746
Te8 0.755 0.248 0.250

Main lines, low angle first (2θ = 5–70°):
- 2θ = 12.67°, 6.988 Å, I 59
- 2θ = 23.84°, 3.733 Å, I 48
- 2θ = 28.97°, 3.083 Å, I 51
- 2θ = 29.10°, 3.068 Å, I 100
- 2θ = 41.17°, 2.193 Å, I 39
- 2θ = 41.90°, 2.156 Å, I 56

# 4
Starting from a GGA-PBE-relaxed structure, the XRD peak list of Li3InO3 was simulated for Cu Kα X-rays.
Intensities are scaled so that the largest is 100.

Structural model:
Cell: 5.707 5.707 10.432 Å, 90.00 90.00 120.00°
Fractional positions:
Li1 0.054 0.371 0.071
Li2 0.054 0.683 0.429
Li3 0.317 0.371 0.429
Li4 0.317 0.946 0.071
Li5 0.371 0.054 0.571
Li6 0.371 0.317 0.929
Li7 0.629 0.683 0.071
Li8 0.629 0.946 0.429
Li9 0.683 0.054 0.929
Li10 0.683 0.629 0.571
Li11 0.946 0.317 0.571
Li12 0.946 0.629 0.929
In1 0.000 0.000 0.250
In2 0.000 0.000 0.750
In3 0.333 0.667 0.750
In4 0.667 0.333 0.250
O1 0.041 0.338 0.877
O2 0.041 0.703 0.623
O3 0.297 0.338 0.623
O4 0.297 0.959 0.877
O5 0.338 0.041 0.377
O6 0.338 0.297 0.123
O7 0.662 0.703 0.877
O8 0.662 0.959 0.623
O9 0.703 0.041 0.123
O10 0.703 0.662 0.377
O11 0.959 0.297 0.377
O12 0.959 0.662 0.123

Main lines, low angle first (2θ = 5–70°):
- 2θ = 17.00°, 5.216 Å, I 73
- 2θ = 19.88°, 4.467 Å, I 82
- 2θ = 31.35°, 2.854 Å, I 33
- 2θ = 35.87°, 2.504 Å, I 100
- 2θ = 47.22°, 1.925 Å, I 61
- 2θ = 55.81°, 1.647 Å, I 31

# 5
Starting from a GGA-PBE-relaxed structure, the XRD peak list of LiInO was simulated for Cu Kα X-rays.
Intensities are scaled so that the largest is 100.

Structural model:
Cell: 3.285 3.550 7.956 Å, 90.00 90.00 90.00°
Fractional positions:
Li1 0.250 0.250 0.033
Li2 0.750 0.750 0.967
In1 0.250 0.250 0.668
In2 0.750 0.750 0.332
O1 0.250 0.750 0.129
O2 0.750 0.250 0.871

Main lines, low angle first (2θ = 5–70°):
- 2θ = 11.12°, 7.956 Å, I 47
- 2θ = 27.51°, 3.242 Å, I 100
- 2θ = 29.41°, 3.037 Å, I 51
- 2θ = 33.82°, 2.650 Å, I 60
- 2θ = 35.44°, 2.533 Å, I 57
- 2θ = 51.20°, 1.784 Å, I 47

# 6
Starting from a GGA-PBE-relaxed structure, the XRD peak list of LiIn5O8 was simulated for Cu Kα X-rays.
Intensities are scaled so that the largest is 100.

Structural model:
Cell: 6.475 6.475 6.475 Å, 60.00 60.00 60.00°
Fractional positions:
Li1 0.000 0.000 0.000
In1 0.371 0.371 0.371
In2 0.371 0.371 0.886
In3 0.371 0.886 0.371
In4 0.750 0.750 0.750
In5 0.886 0.371 0.371
O1 0.133 0.133 0.133
O2 0.133 0.133 0.601
O3 0.133 0.601 0.133
O4 0.152 0.616 0.616
O5 0.601 0.133 0.133
O6 0.616 0.152 0.616
O7 0.616 0.616 0.152
O8 0.616 0.616 0.616

Main lines, low angle first (2θ = 5–70°):
- 2θ = 16.77°, 5.287 Å, I 47
- 2θ = 32.43°, 2.761 Å, I 100
- 2θ = 33.91°, 2.644 Å, I 35
- 2θ = 39.36°, 2.289 Å, I 31
- 2θ = 51.88°, 1.762 Å, I 39
- 2θ = 56.88°, 1.619 Å, I 44

# 7
Starting from a GGA-PBE-relaxed structure, the XRD peak list of LiPmIn4O8 was simulated for Cu Kα X-rays.
Intensities are scaled so that the largest is 100.

Structural model:
Cell: 6.491 6.491 6.491 Å, 61.15 61.15 61.15°
Fractional positions:
Li1 0.000 0.000 0.000
Pm1 0.376 0.376 0.376
In1 0.491 0.995 0.995
In2 0.612 0.612 0.612
In3 0.995 0.491 0.995
In4 0.995 0.995 0.491
O1 0.218 0.746 0.746
O2 0.233 0.233 0.786
O3 0.233 0.786 0.233
O4 0.234 0.234 0.234
O5 0.746 0.218 0.746
O6 0.746 0.746 0.218
O7 0.749 0.749 0.749
O8 0.786 0.233 0.233

Main lines, low angle first (2θ = 5–70°):
- 2θ = 27.49°, 3.244 Å, I 72
- 2θ = 31.81°, 2.813 Å, I 100
- 2θ = 32.02°, 2.795 Å, I 55
- 2θ = 32.43°, 2.760 Å, I 37
- 2θ = 55.68°, 1.651 Å, I 36
- 2θ = 56.75°, 1.622 Å, I 32